Structure and theoretical powder diffractogram of PuGa6Ni6 (a PBE-relaxed structure; Cu Ka).

Peak list (10 most intense, 10° ≤ 2θ ≤ 90°, in order of rising 2θ)
2θ/deg, intensity
14.72, 22
35.78, 64
36.98, 22
41.55, 58
42.03, 100
42.61, 37
43.43, 28
47.16, 25
75.81, 25
78.73, 27

Structural model:
Cell: 6.5242 6.5242 6.5242 Å, 134.76 100.60 96.43°
Sites, in units of the cell vectors:
Pu 0.0000 0.0000 0.0000
Ga 0.1847 0.6847 0.5000
Ga 0.3429 0.0000 0.3429
Ga 0.3443 0.3443 0.0000
Ga 0.6557 0.6557 0.0000
Ga 0.6571 0.0000 0.6571
Ga 0.8153 0.3153 0.5000
Ni 0.0000 0.0000 0.5000
Ni 0.0000 0.5000 0.0000
Ni 0.2404 0.5000 0.7404
Ni 0.5000 0.0000 0.0000
Ni 0.5000 0.5000 0.5000
Ni 0.7596 0.5000 0.2596